Structure and computed PXRD pattern of Eu (a PBE-relaxed structure; λ = 1.5418 Å (Cu Kα)).
Intensities are scaled so that the largest is 100.

Atomic structure:
Cell: 3.959 3.959 12.861 Å, 90.00 90.00 120.00°
Sites, in units of the cell vectors:
Eu1 0.000 0.000 0.000
Eu2 0.000 0.000 0.500
Eu3 0.333 0.667 0.250
Eu4 0.667 0.333 0.750

Most intense lines, 2θ = 15–90°, low angle first:
| 2theta | I_rel | index |
| --- | --- | --- |
| 26.91 | 42 | 1 0 1 |
| 27.75 | 35 | 0 0 4 |
| 29.52 | 100 | 1 0 2 |
| 33.47 | 24 | 1 0 3 |
| 45.84 | 27 | 1 1 0 |
| 54.43 | 32 | 1 1 4 |